# Pm2SbP
Calculated X-ray powder pattern, Cu Kα, 1.54184 Å. Input: a GGA-PBE-relaxed structure.

Structural model:
a = 4.323 Å, b = 4.323 Å, c = 6.124 Å
α = 90.00°, β = 90.00°, γ = 90.00°
Atoms (fractional coordinates):
Pm 0.000 0.000 0.000
Pm 0.500 0.500 0.500
Sb 0.000 0.000 0.500
P 0.500 0.500 0.000

Principal peaks in the range 2θ = 15–90°, in order of rising 2θ:
2θ (°), I/Imax, (hkl)
20.54, 6.2, 1 0 0
25.22, 19.1, 1 0 1
29.20, 100.0, 1 1 0
41.76, 75.1, 2 0 0
49.41, 9.8, 2 1 1
51.77, 26.6, 2 0 2
60.58, 8.3, 2 2 0
68.59, 22.8, 2 2 2
68.65, 11.4, 3 1 0
76.25, 25.3, 3 1 2